# NaIn4Bi2
Theoretical powder XRD pattern, λ = 1.5418 Å (Cu Kα). Input: a crystal structure in Alexandria, relaxed with PBE.

Crystal structure
```
NaIn4Bi2
1.0
6.292 0.000 0.000
0.000 12.229 0.000
-1.968 0.000 5.599
Na In Bi
2 8 4
Direct
0.000 0.000 0.000 Na
0.000 0.500 0.500 Na
0.007 0.215 0.501 In
0.007 0.285 0.001 In
0.494 0.698 0.503 In
0.494 0.802 0.003 In
0.506 0.198 0.997 In
0.506 0.302 0.497 In
0.993 0.715 0.999 In
0.993 0.785 0.499 In
0.303 0.502 0.106 Bi
0.303 0.998 0.606 Bi
0.697 0.002 0.394 Bi
0.697 0.498 0.894 Bi
```

Most intense lines, 2θ = 5–70°, in order of rising 2θ:
2θ (°)	I (rel.)
17.42	36.7
19.24	22.2
27.06	21.1
29.21	30.4
29.93	28.8
31.97	19.9
33.57	100.0
39.06	32.4
42.68	20.0
60.16	29.9


# Na5In2Bi4
Theoretical powder XRD pattern, λ = 1.5418 Å (Cu Kα). Input: a crystal structure in Alexandria, relaxed with PBE.

Crystal structure
```
Na5In2Bi4
1.0
6.894 -2.686 0.000
6.894 2.686 0.000
-0.637 0.000 9.774
Na In Bi
5 2 4
Direct
0.000 0.000 0.000 Na
0.309 0.309 0.927 Na
0.340 0.340 0.552 Na
0.660 0.660 0.448 Na
0.691 0.691 0.073 Na
0.000 0.000 0.355 In
0.000 0.000 0.645 In
0.203 0.203 0.239 Bi
0.435 0.435 0.228 Bi
0.565 0.565 0.772 Bi
0.797 0.797 0.761 Bi
```

Most intense lines, 2θ = 5–70°, in order of rising 2θ:
2θ (°)	I (rel.)
18.15	81.8
19.74	30.8
20.12	100.0
26.91	44.6
28.06	27.5
30.76	31.1
33.16	64.2
33.35	44.7
36.72	60.0
50.48	29.9


# Na2InBi
Theoretical powder XRD pattern, λ = 1.5418 Å (Cu Kα). Input: a crystal structure in Alexandria, relaxed with PBE.

Crystal structure
```
Na2InBi
1.0
5.046 -6.532 0.000
5.046 6.532 0.000
0.000 0.000 7.107
Na In Bi
8 4 4
Direct
0.000 0.500 0.250 Na
0.000 0.500 0.750 Na
0.123 0.877 0.999 Na
0.377 0.623 0.499 Na
0.500 0.000 0.250 Na
0.500 0.000 0.750 Na
0.623 0.377 0.501 Na
0.877 0.123 0.001 Na
0.116 0.884 0.499 In
0.384 0.616 0.999 In
0.616 0.384 0.001 In
0.884 0.116 0.501 In
0.250 0.250 0.250 Bi
0.250 0.250 0.750 Bi
0.750 0.750 0.250 Bi
0.750 0.750 0.750 Bi
```

Most intense lines, 2θ = 5–70°, in order of rising 2θ:
2θ (°)	I (rel.)
13.56	90.9
16.70	30.8
22.26	43.9
30.77	100.0
32.66	84.2
33.76	43.2
35.58	34.1
37.40	58.5
52.57	50.5
62.26	26.1


# Na3InBi4
Theoretical powder XRD pattern, λ = 1.5418 Å (Cu Kα). Input: a crystal structure in Alexandria, relaxed with PBE.

Crystal structure
```
Na3InBi4
1.0
3.433 0.000 0.000
0.000 3.433 0.000
0.000 0.000 20.030
Na In Bi
3 1 4
Direct
0.000 0.000 0.000 Na
0.000 0.000 0.244 Na
0.000 0.000 0.756 Na
0.000 0.000 0.500 In
0.500 0.500 0.123 Bi
0.500 0.500 0.370 Bi
0.500 0.500 0.630 Bi
0.500 0.500 0.877 Bi
```

Most intense lines, 2θ = 5–70°, in order of rising 2θ:
2θ (°)	I (rel.)
17.71	37.9
25.95	31.7
31.60	100.0
35.87	17.5
37.03	33.2
41.33	19.3
44.80	15.1
52.51	23.8
61.80	14.1
63.36	27.9


# NaIn3Bi2
Theoretical powder XRD pattern, λ = 1.5418 Å (Cu Kα). Input: a crystal structure in Alexandria, relaxed with PBE.

Crystal structure
```
NaIn3Bi2
1.0
5.453 0.000 0.000
-2.593 8.555 0.000
-0.376 -4.623 7.857
Na In Bi
2 6 4
Direct
0.140 0.265 0.157 Na
0.860 0.735 0.843 Na
0.065 0.098 0.699 In
0.270 0.548 0.970 In
0.386 0.773 0.435 In
0.614 0.227 0.565 In
0.730 0.452 0.030 In
0.935 0.902 0.301 In
0.212 0.437 0.583 Bi
0.456 0.965 0.155 Bi
0.544 0.035 0.845 Bi
0.788 0.563 0.417 Bi
```

Most intense lines, 2θ = 5–70°, in order of rising 2θ:
2θ (°)	I (rel.)
17.35	30.1
20.27	42.4
24.14	39.1
30.74	55.3
30.98	59.9
31.26	69.3
31.38	34.4
32.88	100.0
33.17	71.8
34.39	74.2


# Na2In3Bi2
Theoretical powder XRD pattern, λ = 1.5418 Å (Cu Kα). Input: a crystal structure in Alexandria, relaxed with PBE.

Crystal structure
```
Na2In3Bi2
1.0
5.533 -2.492 0.000
5.533 2.492 0.000
-0.622 0.000 7.406
Na In Bi
2 3 2
Direct
0.088 0.088 0.233 Na
0.912 0.912 0.767 Na
0.374 0.374 0.077 In
0.500 0.500 0.500 In
0.626 0.626 0.923 In
0.210 0.210 0.694 Bi
0.790 0.790 0.306 Bi
```

Most intense lines, 2θ = 5–70°, in order of rising 2θ:
2θ (°)	I (rel.)
16.08	20.7
22.61	42.0
30.19	27.8
31.70	91.3
31.81	100.0
35.69	37.2
36.04	40.0
41.01	22.2
51.63	25.9
62.13	27.8


# Na2In2Bi3
Theoretical powder XRD pattern, λ = 1.5418 Å (Cu Kα). Input: a crystal structure in Alexandria, relaxed with PBE.

Crystal structure
```
Na2In2Bi3
1.0
5.761 0.000 0.000
0.000 3.382 0.000
-2.708 0.000 10.924
Na In Bi
2 2 3
Direct
0.140 0.000 0.279 Na
0.860 0.000 0.721 Na
0.431 0.500 0.856 In
0.569 0.500 0.144 In
0.000 0.500 0.000 Bi
0.282 0.500 0.566 Bi
0.718 0.500 0.434 Bi
```

Most intense lines, 2θ = 5–70°, in order of rising 2θ:
2θ (°)	I (rel.)
16.23	52.9
19.50	28.6
19.80	29.8
26.35	77.0
31.07	100.0
32.41	57.2
32.85	55.3
41.17	48.1
42.24	44.5
42.59	43.9


# Na2In3Bi5
Theoretical powder XRD pattern, λ = 1.5418 Å (Cu Kα). Input: a crystal structure in Alexandria, relaxed with PBE.

Crystal structure
```
Na2In3Bi5
1.0
-5.762 6.707 4.696
5.762 -6.707 4.696
5.762 6.707 -4.696
Na In Bi
4 6 10
Direct
0.127 0.239 0.365 Na
0.373 0.739 0.112 Na
0.627 0.261 0.888 Na
0.873 0.761 0.635 Na
0.127 0.891 0.017 In
0.250 0.750 0.500 In
0.373 0.391 0.764 In
0.627 0.609 0.236 In
0.750 0.250 0.500 In
0.873 0.109 0.983 In
0.005 0.750 0.255 Bi
0.121 0.630 0.751 Bi
0.250 0.250 0.000 Bi
0.379 0.130 0.509 Bi
0.495 0.750 0.745 Bi
0.505 0.250 0.255 Bi
0.621 0.870 0.491 Bi
0.750 0.750 0.000 Bi
0.879 0.370 0.249 Bi
0.995 0.250 0.745 Bi
```

Most intense lines, 2θ = 5–70°, in order of rising 2θ:
2θ (°)	I (rel.)
15.38	74.3
17.98	67.0
24.45	60.0
28.41	38.3
32.82	100.0
36.43	37.1
36.59	63.7
38.34	35.8
41.31	45.3
57.62	34.6